The following is a simulated powder diffractogram of Ga5I4Cl. It was derived from a GGA-PBE-relaxed structure, using copper Kα.
Neutral-atom scattering factors, no anomalous dispersion.

Most intense lines, 5° ≤ 2θ ≤ 70°, sorted by position:
2θ 23.50, intensity 14; 2θ 26.95, intensity 50; 2θ 27.32, intensity 100; 2θ 38.75, intensity 75; 2θ 39.02, intensity 37; 2θ 48.06, intensity 39; 2θ 63.00, intensity 16; 2θ 63.56, intensity 15; 2θ 63.75, intensity 16; 2θ 69.97, intensity 13

Structure:
Unit cell a=8.014 b=8.014 c=8.014 alpha=99.81 beta=99.81 gamma=131.24
Atoms (fractional coordinates):
Ga  0.000  0.000  0.000
Ga  0.174  0.365  0.617
Ga  0.365  0.748  0.191
Ga  0.557  0.174  0.809
Ga  0.748  0.557  0.383
I  0.056  0.659  0.786
I  0.270  0.056  0.397
I  0.659  0.874  0.603
I  0.874  0.270  0.214
Cl  0.408  0.408  0.000

---

The following is a simulated powder diffractogram of In3GaCl6. It was derived from a GGA-PBE-relaxed structure, using copper Kα.
Neutral-atom scattering factors, no anomalous dispersion.

Most intense lines, 5° ≤ 2θ ≤ 70°, sorted by position:
2θ 21.63, intensity 44; 2θ 21.97, intensity 100; 2θ 23.33, intensity 14; 2θ 29.31, intensity 14; 2θ 32.40, intensity 21; 2θ 33.10, intensity 31; 2θ 36.03, intensity 26; 2θ 40.19, intensity 17; 2θ 43.36, intensity 28; 2θ 49.43, intensity 12

Structure:
Unit cell a=9.980 b=9.980 c=7.625 alpha=90.00 beta=90.00 gamma=107.01
Atoms (fractional coordinates):
In  0.095  0.905  0.500
In  0.212  0.391  0.486
In  0.391  0.212  0.986
In  0.609  0.788  0.486
In  0.788  0.609  0.986
In  0.905  0.095  0.000
Ga  0.302  0.698  0.931
Ga  0.698  0.302  0.431
Cl  0.095  0.601  0.809
Cl  0.154  0.166  0.739
Cl  0.166  0.154  0.239
Cl  0.281  0.719  0.215
Cl  0.399  0.905  0.809
Cl  0.437  0.563  0.872
Cl  0.563  0.437  0.372
Cl  0.601  0.095  0.309
Cl  0.719  0.281  0.715
Cl  0.834  0.846  0.739
Cl  0.846  0.834  0.239
Cl  0.905  0.399  0.309